Ba3Pm2SmSe6: simulated powder diffractogram (Cu Kα), based on a GGA-PBE-relaxed structure.
Lines closer than 0.1° are merged.

Crystal structure
```
data_Ba3Pm2SmSe6
_chemical_formula_sum 'Ba6 Pm4 Sm2 Se12'
_space_group_name_H-M_alt 'C 1 2/m 1'
_space_group_IT_number 12
_space_group_name_Hall '-C 2y'
_cell_length_a 7.568
_cell_length_b 13.092
_cell_length_c 7.838
_cell_angle_alpha 90.00
_cell_angle_beta 108.79
_cell_angle_gamma 90.00
loop_
_atom_site_label
_atom_site_type_symbol
_atom_site_fract_x
_atom_site_fract_y
_atom_site_fract_z
Ba1 Ba 0.000 0.000 0.000
Ba2 Ba 0.000 0.333 0.000
Pm1 Pm 0.000 0.166 0.500
Sm1 Sm 0.000 0.500 0.500
Se1 Se 0.239 0.334 0.719
Se2 Se 0.241 0.000 0.720
```

The 10 most intense peaks (10 to 90 degrees two-theta), in order of falling intensity:
Position (°2θ)  d/Å  intensity  (hkl)
28.54  3.128  100.0  1 3 1
41.35  2.183  37.2  0 6 0
40.24  2.241  36.6  2 0 2
51.01  1.790  19.6  4 0 0
67.68  1.384  16.8  4 6 0
66.09  1.414  14.9  3 3 3
74.65  1.271  11.8  5 3 1
24.87  3.581  10.8  2 0 0
59.08  1.564  7.8  2 6 2
75.41  1.261  6.3  6 0 -2


Ba2PmTlSe4: simulated powder diffractogram (Cu Kα), based on a GGA-PBE-relaxed structure.
Lines closer than 0.1° are merged.

Crystal structure
```
data_Ba2PmTlSe4
_chemical_formula_sum 'Ba2 Pm1 Tl1 Se4'
_space_group_name_H-M_alt 'P 1 2/m 1'
_space_group_IT_number 10
_space_group_name_Hall '-P 2y'
_cell_length_a 7.731
_cell_length_b 4.554
_cell_length_c 8.073
_cell_angle_alpha 90.00
_cell_angle_beta 108.87
_cell_angle_gamma 90.00
loop_
_atom_site_label
_atom_site_type_symbol
_atom_site_fract_x
_atom_site_fract_y
_atom_site_fract_z
Ba1 Ba 0.000 0.000 0.000
Ba2 Ba 0.000 0.500 0.500
Pm1 Pm 0.500 0.000 0.500
Tl1 Tl 0.500 0.500 0.000
Se1 Se 0.266 0.000 0.728
Se2 Se 0.274 0.500 0.275
```

The 10 most intense peaks (10 to 90 degrees two-theta), in order of falling intensity:
Position (°2θ)  d/Å  intensity  (hkl)
27.58  3.234  100.0  1 1 1
27.78  3.211  48.1  2 0 -2
38.88  2.316  38.1  1 1 -3
40.21  2.243  35.1  3 1 -1
49.04  1.857  20.0  2 2 -2
39.58  2.277  19.3  0 2 0
39.23  2.297  18.5  2 0 2
23.95  3.715  14.1  1 1 -1
56.95  1.617  12.4  2 2 2
47.62  1.909  11.5  0 0 4


Ba2PmYSe4: simulated powder diffractogram (Cu Kα), based on a GGA-PBE-relaxed structure.
Lines closer than 0.1° are merged.

Crystal structure
```
data_Ba2PmYSe4
_chemical_formula_sum 'Ba2 Pm1 Y1 Se4'
_space_group_name_H-M_alt 'P 1 2/m 1'
_space_group_IT_number 10
_space_group_name_Hall '-P 2y'
_cell_length_a 7.500
_cell_length_b 4.339
_cell_length_c 7.815
_cell_angle_alpha 90.00
_cell_angle_beta 108.72
_cell_angle_gamma 90.00
loop_
_atom_site_label
_atom_site_type_symbol
_atom_site_fract_x
_atom_site_fract_y
_atom_site_fract_z
Ba1 Ba 0.000 0.000 0.000
Ba2 Ba 0.500 0.500 0.000
Pm1 Pm 0.000 0.500 0.500
Y1 Y 0.500 0.000 0.500
Se1 Se 0.244 0.000 0.718
Se2 Se 0.266 0.500 0.285
```

The 10 most intense peaks (10 to 90 degrees two-theta), in order of falling intensity:
Position (°2θ)  d/Å  intensity  (hkl)
28.71  3.110  100.0  1 1 1
41.67  2.167  37.0  0 2 0
40.42  2.232  35.7  2 0 2
68.23  1.375  16.9  1 3 1
51.36  1.779  14.1  2 2 -2
59.45  1.555  12.8  2 2 2
66.41  1.408  9.9  0 2 4
75.17  1.264  8.1  1 3 -3
25.04  3.556  7.3  2 0 0
49.24  1.850  6.9  0 0 4


Ba2PmZnSe5: simulated powder diffractogram (Cu Kα), based on a GGA-PBE-relaxed structure.
Lines closer than 0.1° are merged.

Crystal structure
```
data_Ba2PmZnSe5
_chemical_formula_sum 'Ba8 Pm4 Zn4 Se20'
_space_group_name_H-M_alt 'C m c 21'
_space_group_IT_number 36
_space_group_name_Hall 'C 2c -2'
_cell_length_a 4.332
_cell_length_b 18.802
_cell_length_c 13.421
_cell_angle_alpha 90.00
_cell_angle_beta 90.00
_cell_angle_gamma 90.00
loop_
_atom_site_label
_atom_site_type_symbol
_atom_site_fract_x
_atom_site_fract_y
_atom_site_fract_z
Ba1 Ba 0.000 0.119 0.000
Ba2 Ba 0.000 0.125 0.641
Pm1 Pm 0.000 0.198 0.331
Zn1 Zn 0.000 0.444 0.738
Se1 Se 0.000 0.037 0.332
Se2 Se 0.000 0.302 0.978
Se3 Se 0.000 0.313 0.679
Se4 Se 0.000 0.350 0.322
Se5 Se 0.000 0.497 0.076
```

The 10 most intense peaks (10 to 90 degrees two-theta), in order of falling intensity:
Position (°2θ)  d/Å  intensity  (hkl)
29.08  3.070  100.0  1 1 3
34.29  2.615  42.3  1 5 2
29.27  3.052  42.0  0 6 1
41.69  2.167  33.1  2 0 0
51.75  1.766  17.0  2 6 1
22.01  4.039  15.6  0 2 3
48.21  1.887  14.5  1 7 4
45.91  1.977  11.2  1 1 6
52.63  1.739  10.4  1 7 5
69.50  1.353  9.0  1 7 8


Ba3PmSm3Te8: simulated powder diffractogram (Cu Kα), based on a GGA-PBE-relaxed structure.
Lines closer than 0.1° are merged.

Crystal structure
```
data_Ba3PmSm3Te8
_chemical_formula_sum 'Ba6 Pm2 Sm6 Te16'
_space_group_name_H-M_alt 'C 1 2/m 1'
_space_group_IT_number 12
_space_group_name_Hall '-C 2y'
_cell_length_a 15.809
_cell_length_b 9.131
_cell_length_c 9.589
_cell_angle_alpha 90.00
_cell_angle_beta 123.30
_cell_angle_gamma 90.00
loop_
_atom_site_label
_atom_site_type_symbol
_atom_site_fract_x
_atom_site_fract_y
_atom_site_fract_z
Ba1 Ba 0.000 0.000 0.000
Ba2 Ba 0.250 0.250 0.000
Pm1 Pm 0.000 0.000 0.500
Sm1 Sm 0.000 0.500 0.500
Sm2 Sm 0.250 0.250 0.500
Te1 Te 0.011 0.254 0.278
Te2 Te 0.241 0.500 0.722
Te3 Te 0.243 0.000 0.722
```

The 10 most intense peaks (10 to 90 degrees two-theta), in order of falling intensity:
Position (°2θ)  d/Å  intensity  (hkl)
27.00  3.303  100.0  4 0 0
37.59  2.393  38.1  2 2 2
39.48  2.282  37.1  0 4 0
48.48  1.878  20.1  4 4 0
64.24  1.450  17.2  10 2 -2
61.59  1.506  15.4  6 2 2
55.66  1.651  12.1  8 0 0
70.37  1.338  11.9  8 4 0
11.04  8.015  9.5  0 0 1
45.25  2.004  6.5  0 0 4


Ba2Pm3Sn4: simulated powder diffractogram (Cu Kα), based on a GGA-PBE-relaxed structure.
Lines closer than 0.1° are merged.

Crystal structure
```
data_Ba2Pm3Sn4
_chemical_formula_sum 'Ba8 Pm12 Sn16'
_space_group_name_H-M_alt 'C m c e'
_space_group_IT_number 64
_space_group_name_Hall '-C 2ac 2'
_cell_length_a 7.531
_cell_length_b 18.149
_cell_length_c 9.316
_cell_angle_alpha 90.00
_cell_angle_beta 90.00
_cell_angle_gamma 90.00
loop_
_atom_site_label
_atom_site_type_symbol
_atom_site_fract_x
_atom_site_fract_y
_atom_site_fract_z
Ba1 Ba 0.000 0.110 0.084
Pm1 Pm 0.000 0.000 0.500
Pm2 Pm 0.250 0.211 0.750
Sn1 Sn 0.000 0.188 0.456
Sn2 Sn 0.250 0.039 0.750
```

The 10 most intense peaks (10 to 90 degrees two-theta), in order of falling intensity:
Position (°2θ)  d/Å  intensity  (hkl)
30.53  2.928  100.0  2 0 2
28.94  3.085  74.2  1 5 1
27.38  3.257  56.1  2 2 1
30.42  2.938  39.4  0 2 3
31.09  2.877  32.8  0 6 1
44.97  2.016  22.4  3 5 1
39.42  2.286  21.5  2 6 1
48.47  1.878  21.0  2 6 3
48.34  1.883  19.1  4 0 0
41.65  2.168  17.9  0 6 3